[1]
Simulated X-ray diffraction stick pattern
Compound: GaFeAs2O8
Radiation: a wavelength of 1.5418 Å
Structure: DFT lattice parameters and positions (PBE+U)

Crystal structure
```
data_GaFeAs2O8
_symmetry_space_group_name_H-M 'I -4 m 2'
_symmetry_Int_Tables_number 119
_symmetry_space_group_name_Hall 'I -4 -2'
_cell_length_a 6.530
_cell_length_b 6.530
_cell_length_c 6.233
_cell_angle_alpha 90.00
_cell_angle_beta 90.00
_cell_angle_gamma 90.00
loop_
_atom_site_label
_atom_site_type_symbol
_atom_site_fract_x
_atom_site_fract_y
_atom_site_fract_z
_atom_site_occupancy
Ga1 Ga 0.000 0.000 0.000 1
Fe1 Fe 0.000 0.500 0.750 1
As1 As 0.000 0.000 0.500 1
As2 As 0.000 0.500 0.250 1
O1 O 0.000 0.192 0.688 1
O2 O 0.000 0.307 0.061 1
```

Top 12 peaks for 10 to 90 degrees two-theta, sorted by position:
index, two_theta, d (Å), I/Imax
2 0 0, 27.31, 3.265, 100.0
2 1 1, 33.90, 2.645, 8.2
1 1 2, 34.73, 2.583, 72.7
2 2 0, 39.01, 2.309, 14.8
3 1 2, 53.21, 1.721, 61.7
4 0 0, 56.36, 1.633, 16.5
4 2 0, 63.73, 1.460, 11.9
2 0 4, 66.49, 1.406, 13.3
3 3 2, 67.92, 1.380, 18.7
2 2 4, 73.30, 1.292, 9.7
5 1 2, 81.20, 1.185, 10.7
4 0 4, 86.31, 1.127, 6.6


[2]
Simulated X-ray diffraction stick pattern
Compound: GdFeAsO
Radiation: a wavelength of 1.5418 Å
Structure: DFT lattice parameters and positions (PBE+U)

Crystal structure
```
data_GdFeAsO
_symmetry_space_group_name_H-M 'P 4/n m m'
_symmetry_Int_Tables_number 129
_cell_length_a 4.023
_cell_length_b 4.023
_cell_length_c 9.044
_cell_angle_alpha 90.00
_cell_angle_beta 90.00
_cell_angle_gamma 90.00
loop_
_symmetry_equiv_pos_as_xyz
'x,y,z'
'-x,-y,-z'
'-y+1/2,x,z'
'y+1/2,-x,-z'
'-x+1/2,-y+1/2,z'
'x+1/2,y+1/2,-z'
'y,-x+1/2,z'
'-y,x+1/2,-z'
'x+1/2,-y,-z'
'-x+1/2,y,z'
'-y,-x,-z'
'y,x,z'
'-x,y+1/2,-z'
'x,-y+1/2,z'
'y+1/2,x+1/2,-z'
'-y+1/2,-x+1/2,z'
loop_
_atom_site_label
_atom_site_type_symbol
_atom_site_fract_x
_atom_site_fract_y
_atom_site_fract_z
_atom_site_occupancy
Gd1 Gd 0.250 0.250 0.123 1
Fe1 Fe 0.250 0.750 0.500 1
As1 As 0.250 0.250 0.682 1
O1 O 0.250 0.750 0.000 1
```

Top 12 peaks for 10 to 90 degrees two-theta, sorted by position:
index, two_theta, d (Å), I/Imax
1 0 2, 29.72, 3.006, 100.0
1 1 0, 31.45, 2.845, 22.2
1 1 1, 33.01, 2.714, 23.7
1 0 3, 37.30, 2.410, 38.6
2 0 0, 45.07, 2.012, 31.8
1 1 4, 51.64, 1.770, 25.7
2 1 2, 54.92, 1.672, 36.6
2 1 3, 59.87, 1.545, 10.7
2 2 0, 65.64, 1.422, 9.9
2 0 5, 69.94, 1.345, 9.1
3 0 2, 73.68, 1.286, 8.1
3 1 4, 88.10, 1.109, 10.8